# 1
Li2V3FeO8: computed PXRD pattern (Cu Kα X-rays), based on DFT lattice parameters and positions (GGA+U).

Largest 12 diffraction maxima, low angle first, 15 to 90 degrees two-theta:
2θ = 18.24°, I 79
2θ = 21.07°, I 35
2θ = 23.65°, I 31
2θ = 35.25°, I 73
2θ = 35.37°, I 100
2θ = 35.42°, I 37
2θ = 42.80°, I 28
2θ = 43.02°, I 54
2θ = 56.61°, I 24
2θ = 56.90°, I 40
2θ = 62.36°, I 56
2θ = 62.46°, I 37

Atomic structure:
```
data_Li2V3FeO8
_symmetry_space_group_name_H-M 'P 1'
_symmetry_Int_Tables_number 1
_symmetry_space_group_name_Hall 'P 1'
_cell_length_a 8.403
_cell_length_b 8.419
_cell_length_c 8.451
_cell_angle_alpha 90.24
_cell_angle_beta 90.00
_cell_angle_gamma 90.00
loop_
_atom_site_label
_atom_site_fract_x
_atom_site_fract_y
_atom_site_fract_z
Li1 0.000 0.000 0.000
Li2 0.003 0.499 0.500
Li3 0.125 0.878 0.625
Li4 0.376 0.374 0.376
Li5 0.500 0.999 0.501
Li6 0.503 0.501 0.000
Li7 0.626 0.122 0.877
Li8 0.875 0.625 0.124
V1 0.123 0.372 0.126
V2 0.127 0.626 0.879
V3 0.131 0.135 0.376
V4 0.364 0.629 0.627
V5 0.364 0.875 0.869
V6 0.375 0.136 0.131
V7 0.623 0.628 0.376
V8 0.627 0.374 0.623
V9 0.631 0.865 0.125
V10 0.864 0.124 0.632
V11 0.865 0.371 0.874
V12 0.875 0.864 0.370
Fe1 0.250 0.753 0.251
Fe2 0.251 0.248 0.748
Fe3 0.750 0.246 0.250
Fe4 0.751 0.752 0.753
O1 0.110 0.890 0.371
O2 0.113 0.128 0.608
O3 0.114 0.379 0.881
O4 0.120 0.350 0.363
O5 0.130 0.610 0.117
O6 0.138 0.133 0.137
O7 0.149 0.864 0.880
O8 0.151 0.621 0.638
O9 0.356 0.115 0.357
O10 0.368 0.348 0.120
O11 0.368 0.636 0.862
O12 0.373 0.110 0.884
O13 0.380 0.629 0.390
O14 0.383 0.887 0.116
O15 0.384 0.856 0.647
O16 0.389 0.384 0.629
O17 0.610 0.110 0.131
O18 0.613 0.871 0.893
O19 0.614 0.620 0.621
O20 0.620 0.650 0.139
O21 0.630 0.390 0.384
O22 0.638 0.867 0.364
O23 0.650 0.135 0.622
O24 0.651 0.378 0.863
O25 0.855 0.885 0.144
O26 0.867 0.652 0.381
O27 0.869 0.363 0.639
O28 0.873 0.890 0.617
O29 0.880 0.371 0.111
O30 0.884 0.113 0.385
O31 0.884 0.143 0.855
O32 0.889 0.615 0.872
```


# 2
Li4V3Fe5O16: computed PXRD pattern (Cu Kα X-rays), based on DFT lattice parameters and positions (GGA+U).

Largest 12 diffraction maxima, low angle first, 15 to 90 degrees two-theta:
2θ = 18.44°, I 100
2θ = 19.46°, I 57
2θ = 19.61°, I 86
2θ = 35.41°, I 33
2θ = 35.67°, I 30
2θ = 36.20°, I 41
2θ = 44.87°, I 35
2θ = 45.21°, I 32
2θ = 45.49°, I 30
2θ = 59.60°, I 26
2θ = 60.46°, I 26
2θ = 62.51°, I 45

Atomic structure:
```
data_Li4V3Fe5O16
_symmetry_space_group_name_H-M 'P 1'
_symmetry_Int_Tables_number 1
_symmetry_space_group_name_Hall 'P 1'
_cell_length_a 5.928
_cell_length_b 5.943
_cell_length_c 9.626
_cell_angle_alpha 89.10
_cell_angle_beta 89.56
_cell_angle_gamma 60.10
loop_
_atom_site_label
_atom_site_fract_x
_atom_site_fract_y
_atom_site_fract_z
Li1 0.000 0.000 0.000
Li2 0.007 0.990 0.500
Li3 0.324 0.333 0.602
Li4 0.657 0.660 0.102
V1 0.164 0.171 0.280
V2 0.335 0.842 0.784
V3 0.815 0.343 0.779
Fe1 0.173 0.656 0.283
Fe2 0.338 0.331 0.005
Fe3 0.660 0.161 0.280
Fe4 0.674 0.667 0.504
Fe5 0.834 0.825 0.784
O1 0.007 0.004 0.186
O2 0.034 0.461 0.160
O3 0.154 0.171 0.890
O4 0.179 0.675 0.894
O5 0.323 0.314 0.392
O6 0.330 0.845 0.392
O7 0.463 0.033 0.159
O8 0.477 0.474 0.156
O9 0.500 0.960 0.661
O10 0.525 0.510 0.659
O11 0.663 0.660 0.894
O12 0.674 0.163 0.897
O13 0.841 0.833 0.397
O14 0.853 0.322 0.392
O15 0.956 0.520 0.657
O16 0.998 0.006 0.687
```


# 3
Li4V3Fe5O16: computed PXRD pattern (Cu Kα X-rays), based on DFT lattice parameters and positions (GGA+U).

Largest 12 diffraction maxima, low angle first, 15 to 90 degrees two-theta:
2θ = 18.51°, I 100
2θ = 19.49°, I 87
2θ = 19.67°, I 55
2θ = 25.23°, I 31
2θ = 35.32°, I 31
2θ = 35.51°, I 33
2θ = 36.00°, I 61
2θ = 36.26°, I 28
2θ = 39.56°, I 34
2θ = 44.99°, I 35
2θ = 45.51°, I 32
2θ = 62.76°, I 46

Atomic structure:
```
data_Li4V3Fe5O16
_symmetry_space_group_name_H-M 'P 1'
_symmetry_Int_Tables_number 1
_symmetry_space_group_name_Hall 'P 1'
_cell_length_a 5.923
_cell_length_b 5.923
_cell_length_c 9.590
_cell_angle_alpha 91.09
_cell_angle_beta 91.09
_cell_angle_gamma 60.30
loop_
_atom_site_label
_atom_site_fract_x
_atom_site_fract_y
_atom_site_fract_z
Li1 0.000 0.000 0.000
Li2 0.004 0.004 0.499
Li3 0.342 0.342 0.101
Li4 0.670 0.670 0.604
V1 0.169 0.665 0.781
V2 0.665 0.169 0.781
V3 0.833 0.833 0.281
Fe1 0.172 0.172 0.783
Fe2 0.335 0.335 0.505
Fe3 0.342 0.836 0.281
Fe4 0.668 0.668 0.005
Fe5 0.836 0.342 0.281
O1 0.000 0.000 0.685
O2 0.042 0.495 0.660
O3 0.152 0.676 0.392
O4 0.165 0.165 0.397
O5 0.324 0.832 0.895
O6 0.342 0.342 0.892
O7 0.484 0.484 0.658
O8 0.495 0.042 0.660
O9 0.526 0.526 0.156
O10 0.537 0.968 0.159
O11 0.676 0.152 0.392
O12 0.683 0.683 0.392
O13 0.832 0.324 0.895
O14 0.837 0.837 0.891
O15 0.968 0.537 0.159
O16 0.995 0.995 0.186
```


# 4
Li4V5Fe2O12: computed PXRD pattern (Cu Kα X-rays), based on DFT lattice parameters and positions (GGA+U).

Largest 12 diffraction maxima, low angle first, 15 to 90 degrees two-theta:
2θ = 18.21°, I 44
2θ = 19.71°, I 23
2θ = 23.23°, I 38
2θ = 31.46°, I 15
2θ = 35.04°, I 19
2θ = 36.71°, I 19
2θ = 42.62°, I 100
2θ = 42.75°, I 49
2θ = 61.77°, I 40
2θ = 61.91°, I 14
2θ = 62.16°, I 26
2θ = 78.06°, I 12

Atomic structure:
```
data_Li4V5Fe2O12
_symmetry_space_group_name_H-M 'P 1'
_symmetry_Int_Tables_number 1
_symmetry_space_group_name_Hall 'P 1'
_cell_length_a 5.205
_cell_length_b 9.006
_cell_length_c 9.906
_cell_angle_alpha 90.00
_cell_angle_beta 100.35
_cell_angle_gamma 90.00
loop_
_atom_site_label
_atom_site_fract_x
_atom_site_fract_y
_atom_site_fract_z
Li1 0.001 0.000 0.257
Li2 0.016 0.336 0.260
Li3 0.258 0.499 0.497
Li4 0.489 0.332 0.742
Li5 0.511 0.832 0.258
Li6 0.742 0.999 0.503
Li7 0.984 0.836 0.740
Li8 0.999 0.500 0.743
V1 0.014 0.660 0.258
V2 0.246 0.335 0.002
V3 0.249 0.844 0.505
V4 0.255 0.990 0.998
V5 0.488 0.665 0.745
V6 0.512 0.165 0.255
V7 0.745 0.490 0.002
V8 0.751 0.344 0.495
V9 0.754 0.835 0.998
V10 0.986 0.160 0.742
Fe1 0.257 0.660 0.009
Fe2 0.262 0.170 0.506
Fe3 0.738 0.670 0.494
Fe4 0.743 0.160 0.991
O1 0.100 0.491 0.120
O2 0.112 0.012 0.614
O3 0.113 0.323 0.621
O4 0.116 0.831 0.125
O5 0.136 0.679 0.628
O6 0.148 0.162 0.119
O7 0.346 0.168 0.882
O8 0.362 0.687 0.380
O9 0.371 0.015 0.380
O10 0.382 0.492 0.879
O11 0.383 0.824 0.882
O12 0.388 0.319 0.384
O13 0.612 0.819 0.616
O14 0.617 0.324 0.118
O15 0.618 0.992 0.121
O16 0.629 0.515 0.620
O17 0.638 0.187 0.620
O18 0.654 0.668 0.118
O19 0.852 0.662 0.881
O20 0.864 0.179 0.372
O21 0.884 0.331 0.875
O22 0.887 0.823 0.379
O23 0.888 0.512 0.386
O24 0.900 0.991 0.880
```


# 5
Li4VFe3O8: computed PXRD pattern (Cu Kα X-rays), based on DFT lattice parameters and positions (GGA+U).

Largest 12 diffraction maxima, low angle first, 15 to 90 degrees two-theta:
2θ = 18.12°, I 100
2θ = 35.16°, I 43
2θ = 36.76°, I 17
2θ = 42.63°, I 28
2θ = 42.74°, I 55
2θ = 46.74°, I 15
2θ = 56.37°, I 7
2θ = 56.46°, I 9
2θ = 61.95°, I 38
2θ = 62.11°, I 8
2θ = 65.14°, I 10
2θ = 78.26°, I 7

Atomic structure:
```
data_Li4VFe3O8
_symmetry_space_group_name_H-M 'P 1'
_symmetry_Int_Tables_number 1
_symmetry_space_group_name_Hall 'P 1'
_cell_length_a 5.992
_cell_length_b 5.978
_cell_length_c 8.483
_cell_angle_alpha 90.00
_cell_angle_beta 90.02
_cell_angle_gamma 90.00
loop_
_atom_site_label
_atom_site_fract_x
_atom_site_fract_y
_atom_site_fract_z
Li1 0.000 0.000 0.000
Li2 0.000 0.500 0.000
Li3 0.248 0.247 0.250
Li4 0.248 0.753 0.250
Li5 0.500 0.000 0.500
Li6 0.500 0.500 0.500
Li7 0.752 0.247 0.750
Li8 0.752 0.753 0.750
V1 0.000 0.500 0.500
V2 0.500 0.000 0.000
Fe1 0.000 0.000 0.500
Fe2 0.250 0.251 0.750
Fe3 0.250 0.749 0.750
Fe4 0.500 0.500 0.000
Fe5 0.750 0.251 0.250
Fe6 0.750 0.749 0.250
O1 0.015 0.000 0.739
O2 0.015 0.500 0.750
O3 0.234 0.251 0.507
O4 0.234 0.749 0.507
O5 0.261 0.233 0.991
O6 0.261 0.767 0.991
O7 0.481 0.500 0.753
O8 0.489 0.000 0.761
O9 0.511 0.000 0.239
O10 0.519 0.500 0.247
O11 0.739 0.233 0.009
O12 0.739 0.767 0.009
O13 0.766 0.251 0.493
O14 0.766 0.749 0.493
O15 0.985 0.000 0.261
O16 0.985 0.500 0.250
```


# 6
Li4VFe3O8: computed PXRD pattern (Cu Kα X-rays), based on DFT lattice parameters and positions (GGA+U).

Largest 12 diffraction maxima, low angle first, 15 to 90 degrees two-theta:
2θ = 18.06°, I 100
2θ = 35.20°, I 32
2θ = 35.32°, I 14
2θ = 36.85°, I 15
2θ = 42.67°, I 51
2θ = 42.86°, I 27
2θ = 46.77°, I 11
2θ = 61.76°, I 8
2θ = 61.91°, I 14
2θ = 62.24°, I 14
2θ = 65.29°, I 10
2θ = 78.40°, I 8

Atomic structure:
```
data_Li4VFe3O8
_symmetry_space_group_name_H-M 'P 1'
_symmetry_Int_Tables_number 1
_symmetry_space_group_name_Hall 'P 1'
_cell_length_a 5.966
_cell_length_b 5.967
_cell_length_c 5.993
_cell_angle_alpha 119.68
_cell_angle_beta 90.22
_cell_angle_gamma 119.87
loop_
_atom_site_label
_atom_site_fract_x
_atom_site_fract_y
_atom_site_fract_z
Li1 0.000 0.000 0.000
Li2 0.000 0.498 0.003
Li3 0.500 0.994 0.002
Li4 0.501 0.493 0.002
V1 0.000 0.494 0.502
Fe1 0.000 0.994 0.501
Fe2 0.499 0.992 0.502
Fe3 0.501 0.494 0.501
O1 0.218 0.469 0.271
O2 0.218 0.966 0.272
O3 0.283 0.019 0.732
O4 0.291 0.525 0.727
O5 0.710 0.462 0.276
O6 0.717 0.968 0.271
O7 0.782 0.518 0.732
O8 0.783 0.021 0.731
```